For SmZnPt2, a crystal structure in Alexandria, relaxed with PBE gives the calculated X-ray diffraction stick pattern in this record (Cu Kα (weighted mean of Kα1 and Kα2)).

Structure:
Cell: 6.995 4.343 10.152 Å, 90.00 90.00 90.00°
Fractional positions:
Sm (0.226, 0.250, 0.171)
Sm (0.274, 0.750, 0.671)
Sm (0.726, 0.250, 0.329)
Sm (0.774, 0.750, 0.829)
Zn (0.056, 0.750, 0.393)
Zn (0.444, 0.250, 0.893)
Zn (0.556, 0.750, 0.107)
Zn (0.944, 0.250, 0.607)
Pt (0.068, 0.250, 0.846)
Pt (0.249, 0.750, 0.964)
Pt (0.251, 0.250, 0.464)
Pt (0.432, 0.750, 0.346)
Pt (0.568, 0.250, 0.654)
Pt (0.749, 0.750, 0.536)
Pt (0.751, 0.250, 0.036)
Pt (0.932, 0.750, 0.154)

Peak list (8 most intense, 2θ = 5–70°, sorted by position)
| d (Å) | Position (°2θ) | I/Imax |
| --- | --- | --- |
| 3.046 | 29.32 | 15 |
| 2.631 | 34.08 | 73 |
| 2.494 | 36.01 | 100 |
| 2.386 | 37.71 | 17 |
| 2.171 | 41.59 | 41 |
| 2.120 | 42.64 | 29 |
| 2.013 | 45.03 | 28 |
| 1.717 | 53.36 | 15 |